[1]
Structure and simulated PXRD pattern of PrBe13 (a crystal structure in OQMD, relaxed with PBE; a wavelength of 1.5418 Å).

Peak list (10 most intense, 5° ≤ 2θ ≤ 70°, low angle first)
| Position (°2θ) | d [Å] | I (rel.) |
| --- | --- | --- |
| 17.16 | 5.166 | 86 |
| 24.36 | 3.653 | 100 |
| 29.96 | 2.983 | 45 |
| 34.73 | 2.583 | 22 |
| 38.98 | 2.310 | 73 |
| 42.88 | 2.109 | 61 |
| 53.19 | 1.722 | 22 |
| 56.31 | 1.634 | 26 |
| 65.10 | 1.433 | 17 |
| 67.88 | 1.381 | 28 |

Structure:
```
28
Lattice="0.000 5.166 5.166 5.166 0.000 5.166 5.166 5.166 0.000" Properties=species:S:1:pos:R:3 pbc="T T T"
Pr 2.583 2.583 2.583
Pr 7.750 7.750 7.750
Be 0.000 0.000 0.000
Be 5.166 4.006 1.814
Be 8.519 5.166 4.006
Be 6.327 1.814 5.166
Be 6.327 5.166 3.352
Be 5.166 3.352 4.006
Be 6.980 4.006 5.166
Be 5.166 6.327 1.814
Be 4.006 1.814 5.166
Be 8.519 5.166 6.327
Be 4.006 5.166 3.352
Be 6.980 6.327 5.166
Be 5.166 3.352 6.327
Be 5.166 5.166 5.166
Be 5.166 6.980 4.006
Be 3.352 4.006 5.166
Be 6.327 5.166 6.980
Be 1.814 5.166 4.006
Be 6.327 8.519 5.166
Be 5.166 4.006 8.519
Be 3.352 6.327 5.166
Be 5.166 6.980 6.327
Be 4.006 5.166 6.980
Be 4.006 8.519 5.166
Be 1.814 5.166 6.327
Be 5.166 6.327 8.519
```

[2]
Structure and simulated PXRD pattern of Y2Ho2CICl4 (a crystal structure in OQMD, relaxed with PBE; a wavelength of 1.5418 Å).

Peak list (10 most intense, 5° ≤ 2θ ≤ 70°, low angle first)
| Position (°2θ) | d [Å] | I (rel.) |
| --- | --- | --- |
| 10.73 | 8.246 | 100 |
| 16.92 | 5.240 | 30 |
| 21.67 | 4.101 | 36 |
| 29.10 | 3.069 | 27 |
| 31.56 | 2.835 | 88 |
| 31.92 | 2.804 | 36 |
| 32.56 | 2.750 | 38 |
| 36.85 | 2.439 | 20 |
| 45.79 | 1.982 | 21 |
| 46.17 | 1.966 | 21 |

Structure:
```
10
Lattice="8.495 -1.905 0.000 8.495 1.905 0.000 -2.025 0.000 8.245" Properties=species:S:1:pos:R:3 pbc="T T T"
Y -0.610 0.000 2.543
Y 15.574 0.000 5.702
Ho 5.185 0.000 3.512
Ho 9.779 0.000 4.733
C 7.482 0.000 4.123
I 8.495 0.000 0.000
Cl 1.199 0.000 6.640
Cl 2.196 0.000 2.968
Cl 12.768 0.000 5.277
Cl 13.765 0.000 1.605
```

Please write out number 2 again, unchanged.
Structure and simulated PXRD pattern of Y2Ho2CICl4 (a crystal structure in OQMD, relaxed with PBE; a wavelength of 1.5418 Å).

Peak list (10 most intense, 5° ≤ 2θ ≤ 70°, low angle first)
| Position (°2θ) | d [Å] | I (rel.) |
| --- | --- | --- |
| 10.73 | 8.246 | 100 |
| 16.92 | 5.240 | 30 |
| 21.67 | 4.101 | 36 |
| 29.10 | 3.069 | 27 |
| 31.56 | 2.835 | 88 |
| 31.92 | 2.804 | 36 |
| 32.56 | 2.750 | 38 |
| 36.85 | 2.439 | 20 |
| 45.79 | 1.982 | 21 |
| 46.17 | 1.966 | 21 |

Structure:
```
10
Lattice="8.495 -1.905 0.000 8.495 1.905 0.000 -2.025 0.000 8.245" Properties=species:S:1:pos:R:3 pbc="T T T"
Y -0.610 0.000 2.543
Y 15.574 0.000 5.702
Ho 5.185 0.000 3.512
Ho 9.779 0.000 4.733
C 7.482 0.000 4.123
I 8.495 0.000 0.000
Cl 1.199 0.000 6.640
Cl 2.196 0.000 2.968
Cl 12.768 0.000 5.277
Cl 13.765 0.000 1.605
```